Structure and calculated X-ray powder pattern of LiSbTe2WO12 (a structure optimized by DFT (PBE+U); Cu Kα, 1.54184 Å).
Kinematic intensities with the Lorentz-polarization factor, no thermal factor.

Most intense lines, 2θ from 10° to 80°, sorted by position:
23.97 deg, rel. 1000
33.48 deg, rel. 342
34.83 deg, rel. 242
42.71 deg, rel. 96
49.09 deg, rel. 166
54.40 deg, rel. 205
56.25 deg, rel. 142
58.97 deg, rel. 68
61.53 deg, rel. 66
61.65 deg, rel. 65

Structural model:
```
LiSbTe2WO12
1.0
5.1545 0.0000 0.0000
-0.0045 5.3569 0.0000
-0.0161 -0.4195 7.4256
Li Sb Te W O
1 1 2 1 12
Direct
0.0000 0.0000 0.0000
0.5004 0.9250 0.7788
0.0016 0.4288 0.7834
0.5031 0.9291 0.2861
0.0021 0.4333 0.2900
0.1051 0.4155 0.0383
0.1721 0.1085 0.7380
0.1993 0.7306 0.3410
0.3014 0.2295 0.3404
0.3129 0.6034 0.7236
0.3735 0.9225 0.0404
0.6282 0.9302 0.5281
0.6993 0.6236 0.2310
0.7062 0.2300 0.8556
0.8077 0.1176 0.2236
0.8180 0.7348 0.8516
0.8856 0.4280 0.5348
```